Structure and computed powder diffraction line list of GdBiCl6 (a cell relaxed with PBE; Cu Ka).

Largest 10 diffraction maxima, in order of falling intensity, 10 to 90 degrees two-theta:
d 2.783, rel. 100, (1 3 1)
d 6.134, rel. 91, (0 0 1)
d 3.434, rel. 67, (2 0 -1)
d 5.749, rel. 47, (1 1 0)
d 2.018, rel. 37, (0 6 0)
d 2.534, rel. 35, (1 3 -2)
d 5.061, rel. 33, (1 1 -1)
d 1.921, rel. 32, (2 0 2)
d 1.917, rel. 28, (3 3 0)
d 6.053, rel. 26, (0 2 0)

Structure:
Cell: 6.9912 12.1069 6.5649 Å, 90.00 110.88 90.00°
Space group C2 (No. 5)
Unique sites:
Gd (0.0000, 0.0000, 0.0000)
Bi (0.0000, 0.6677, 0.0000)
Cl (0.2257, 0.8367, 0.2481)
Cl (0.2369, 0.0098, 0.7560)
Cl (0.2454, 0.6546, 0.7554)